# 1
The following is a theoretical X-ray powder pattern of PaTl2I6. It was derived from a cell relaxed with PBE, using Cu Kα.
Lines closer than 0.1° are merged.

Top 12 peaks for 2θ from 10° to 90°, low angle first:
- 5.650 Å, I 100
- 4.195 Å, I 34
- 3.715 Å, I 67
- 3.573 Å, I 21
- 2.893 Å, I 99
- 2.825 Å, I 47
- 2.465 Å, I 21
- 2.343 Å, I 60
- 2.259 Å, I 19
- 1.857 Å, I 25
- 1.804 Å, I 15
- 1.421 Å, I 22

Crystal structure
```
18
Lattice="7.9906 0.0000 0.0000 0.0000 7.9906 0.0000 0.0000 0.0000 14.7890" Properties=species:S:1:pos:R:3 pbc="T T T"
Pa 0.0000 0.0000 0.0000
Pa 3.9953 3.9953 7.3945
Tl 0.0000 0.0000 4.9235
Tl 0.0000 0.0000 9.8655
Tl 3.9953 3.9953 2.4710
Tl 3.9953 3.9953 12.3180
I 1.4994 1.4994 2.1955
I 1.4994 1.4994 12.5935
I 1.8464 1.8464 7.3945
I 2.1489 5.8417 0.0000
I 2.4959 5.4947 5.1990
I 2.4959 5.4947 9.5900
I 5.4947 2.4959 5.1990
I 5.4947 2.4959 9.5900
I 5.8417 2.1489 0.0000
I 6.1442 6.1442 7.3945
I 6.4912 6.4912 2.1955
I 6.4912 6.4912 12.5935
```

***

# 2
The following is a theoretical X-ray powder pattern of Ni3B2W. It was derived from a cell relaxed with PBE, using Cu Kα.
Lines closer than 0.1° are merged.

Top 12 peaks for 2θ from 10° to 90°, low angle first:
- 3.791 Å, I 37
- 3.621 Å, I 14
- 3.330 Å, I 53
- 2.618 Å, I 41
- 2.157 Å, I 41
- 2.088 Å, I 85
- 2.030 Å, I 100
- 1.875 Å, I 16
- 1.665 Å, I 27
- 1.231 Å, I 33
- 1.219 Å, I 18
- 1.207 Å, I 18

Crystal structure
```
6
Lattice="0.0000 3.7906 3.6205 2.1574 0.0000 3.6205 2.1574 3.7906 0.0000" Properties=species:S:1:pos:R:3 pbc="T T T"
Ni 0.0000 0.0000 0.0000
Ni 2.1574 2.5294 4.8479
Ni 2.1574 5.0517 4.8479
B 1.0787 1.8953 3.0450
B 3.2360 5.6859 6.6655
W 2.1574 3.7906 2.3943
```

***

# 3
The following is a theoretical X-ray powder pattern of Dy3Tm. It was derived from a cell relaxed with PBE, using Cu Kα.
Lines closer than 0.1° are merged.

Top 12 peaks for 2θ from 10° to 90°, low angle first:
- 3.113 Å, I 24
- 2.797 Å, I 24
- 2.720 Å, I 100
- 2.080 Å, I 16
- 1.797 Å, I 20
- 1.600 Å, I 20
- 1.512 Å, I 23
- 1.499 Å, I 16
- 1.360 Å, I 4
- 1.195 Å, I 8
- 1.151 Å, I 14
- 1.104 Å, I 8

Crystal structure
```
8
Lattice="5.5939 0.0000 0.0000 0.0000 6.2253 3.5943 0.0000 -6.2253 3.5943" Properties=species:S:1:pos:R:3 pbc="T T T"
Dy 1.3985 -2.0711 1.7934
Dy 1.3985 -5.1911 3.5943
Dy 1.3985 -2.0740 5.3899
Dy 4.1954 2.0711 1.7934
Dy 4.1954 2.0740 5.3899
Dy 4.1954 5.1911 3.5943
Tm 1.3985 1.0355 3.5890
Tm 4.1954 -1.0355 3.5890
```

***

# 4
The following is a theoretical X-ray powder pattern of Zn12Sb. It was derived from a cell relaxed with PBE, using Cu Kα.
Lines closer than 0.1° are merged.

Top 12 peaks for 2θ from 10° to 90°, low angle first:
- 3.165 Å, I 7
- 2.583 Å, I 26
- 2.238 Å, I 100
- 2.001 Å, I 39
- 1.583 Å, I 7
- 1.416 Å, I 3
- 1.414 Å, I 9
- 1.320 Å, I 4
- 1.292 Å, I 19
- 1.290 Å, I 4
- 1.119 Å, I 9
- 1.118 Å, I 6

Crystal structure
```
13
Lattice="-4.4790 4.4790 2.5798 4.4790 -4.4790 2.5798 4.4790 4.4790 -2.5798" Properties=species:S:1:pos:R:3 pbc="T T T"
Zn 2.2395 2.2395 -1.2899
Zn 1.9736 0.0000 0.0000
Zn 2.2395 -2.2395 1.2899
Zn 6.9844 0.0000 0.0000
Zn 4.4790 1.3103 0.0000
Zn 0.0000 1.9736 0.0000
Zn -2.2395 2.2395 1.2899
Zn 1.3103 4.4790 0.0000
Zn 2.2395 2.2395 1.2899
Zn 3.1687 0.0000 2.5798
Zn 0.0000 6.9844 0.0000
Zn 0.0000 3.1687 2.5798
Sb 0.0000 0.0000 2.5798
```

***

# 5
The following is a theoretical X-ray powder pattern of TbMgCd6. It was derived from a cell relaxed with PBE, using Cu Kα.
Lines closer than 0.1° are merged.

Top 12 peaks for 2θ from 10° to 90°, low angle first:
- 5.636 Å, I 9
- 3.720 Å, I 4
- 2.818 Å, I 26
- 2.719 Å, I 4
- 2.475 Å, I 23
- 2.449 Å, I 100
- 1.860 Å, I 15
- 1.627 Å, I 18
- 1.424 Å, I 17
- 1.360 Å, I 19
- 1.355 Å, I 15
- 1.225 Å, I 4

Crystal structure
```
8
Lattice="6.5083 0.0000 0.0000 -3.2541 5.6363 0.0000 0.0000 0.0000 4.9506" Properties=species:S:1:pos:R:3 pbc="T T T"
Tb 0.0000 0.0000 0.0000
Mg 3.2541 1.8788 2.4753
Cd -1.6230 2.8205 0.0000
Cd 0.0000 1.9204 2.4753
Cd -1.5911 4.6762 2.4753
Cd 1.6230 2.8205 0.0000
Cd 0.0000 5.6316 0.0000
Cd 1.5911 4.6762 2.4753
```

***

# 6
The following is a theoretical X-ray powder pattern of PrHo2Si4Au4. It was derived from a cell relaxed with PBE, using Cu Kα.
Lines closer than 0.1° are merged.

Top 12 peaks for 2θ from 10° to 90°, low angle first:
- 4.191 Å, I 13
- 3.225 Å, I 12
- 3.149 Å, I 11
- 2.732 Å, I 21
- 2.697 Å, I 100
- 2.121 Å, I 19
- 2.099 Å, I 24
- 2.015 Å, I 13
- 1.492 Å, I 16
- 1.392 Å, I 13
- 1.311 Å, I 11
- 1.300 Å, I 11

Crystal structure
```
11
Lattice="-2.0988 2.1213 12.5942 2.0988 -2.1213 12.5942 2.0988 2.1213 -12.5942" Properties=species:S:1:pos:R:3 pbc="T T T"
Pr 0.0000 0.0000 0.0000
Ho 2.0988 0.0000 8.8607
Ho 0.0000 2.1213 3.7335
Si 2.0988 0.0000 4.8096
Si 0.0000 0.0000 11.4002
Si 0.0000 0.0000 13.7882
Si 0.0000 2.1213 7.7846
Au 2.0988 0.0000 2.4201
Au 0.0000 0.0000 6.3233
Au 0.0000 0.0000 18.8651
Au 0.0000 2.1213 10.1741
```

***

# 7
The following is a theoretical X-ray powder pattern of MgSc4HgC2. It was derived from a cell relaxed with PBE, using Cu Kα.
Lines closer than 0.1° are merged.

Top 12 peaks for 2θ from 10° to 90°, low angle first:
- 7.826 Å, I 15
- 5.218 Å, I 21
- 2.887 Å, I 31
- 2.839 Å, I 25
- 2.708 Å, I 24
- 2.609 Å, I 20
- 2.526 Å, I 100
- 2.323 Å, I 23
- 1.936 Å, I 23
- 1.667 Å, I 19
- 1.490 Å, I 16
- 1.404 Å, I 17

Crystal structure
```
8
Lattice="3.3332 0.0000 0.0000 -1.6666 2.8867 0.0000 0.0000 0.0000 15.6529" Properties=species:S:1:pos:R:3 pbc="T T T"
Mg 0.0000 0.0000 0.0000
Sc 0.0000 0.0000 5.2873
Sc 0.0000 0.0000 10.3656
Sc 1.6666 0.9622 2.8289
Sc 1.6666 0.9622 12.8241
Hg 1.6666 0.9622 7.8265
C 0.0000 1.9244 4.0219
C 0.0000 1.9244 11.6311
```